Record 1
The following is a simulated X-ray diffraction stick pattern of Pr5PuS8. It was derived from DFT lattice parameters and positions (PBE), using copper Kα.
Peak positions follow from Bragg's law for the DFT cell and can differ from measured ones.

Cell and atoms:
```
data_Pr5PuS8
_cell_length_a 8.627
_cell_length_b 8.627
_cell_length_c 8.593
_cell_angle_alpha 90.00
_cell_angle_beta 90.00
_cell_angle_gamma 90.00
_symmetry_space_group_name_H-M 'I -4'
_symmetry_Int_Tables_number 82
loop_
_symmetry_equiv_pos_as_xyz
'x,y,z'
'y,-x,-z'
'-x,-y,z'
'-y,x,-z'
'x+1/2,y+1/2,z+1/2'
'y+1/2,-x+1/2,-z+1/2'
'-x+1/2,-y+1/2,z+1/2'
'-y+1/2,x+1/2,-z+1/2'
loop_
_atom_site_label
_atom_site_type_symbol
_atom_site_fract_x
_atom_site_fract_y
_atom_site_fract_z
_atom_site_occupancy
Pr1 Pr 0.000 0.000 0.000 1
Pr2 Pr 0.126 0.749 0.622 1
Pu1 Pu 0.000 0.500 0.250 1
S1 S 0.073 0.823 0.298 1
S2 S 0.076 0.674 0.950 1
```

The 10 most intense peaks (2θ from 15° to 90°), most intense first:
2θ (°)	intensity	(hkl)
25.3	100	2 1 1
32.8	56	1 3 0
39.1	55	3 1 2
33.0	31	1 0 3
49.6	25	2 3 3
47.1	24	2 4 0
66.9	23	1 6 1
54.3	22	4 3 1
82.1	15	3 6 3
47.3	14	2 0 4

Record 2
The following is a simulated X-ray diffraction stick pattern of Ga2PtRh. It was derived from DFT lattice parameters and positions (PBE), using copper Kα.
Peak positions follow from Bragg's law for the DFT cell and can differ from measured ones.

Cell and atoms:
```
data_Ga2PtRh
_cell_length_a 4.121
_cell_length_b 4.121
_cell_length_c 3.452
_cell_angle_alpha 90.00
_cell_angle_beta 90.00
_cell_angle_gamma 90.00
_symmetry_space_group_name_H-M 'P 4/m m m'
_symmetry_Int_Tables_number 123
_symmetry_space_group_name_Hall '-P 4 2'
loop_
_atom_site_label
_atom_site_type_symbol
_atom_site_fract_x
_atom_site_fract_y
_atom_site_fract_z
_atom_site_occupancy
Ga1 Ga 0.000 0.500 0.000 1
Pt1 Pt 0.000 0.000 0.500 1
Rh1 Rh 0.500 0.500 0.500 1
```

The 10 most intense peaks (2θ from 15° to 90°), most intense first:
2θ (°)	intensity	(hkl)
40.5	100	1 1 1
43.9	40	2 0 0
78.4	28	3 1 1
71.3	19	2 0 2
63.9	13	2 2 0
30.7	12	1 1 0
53.1	11	0 0 2
87.6	11	2 2 2
25.8	9	0 0 1
21.6	9	1 0 0

Record 3
The following is a simulated X-ray diffraction stick pattern of Sm2SnSe. It was derived from DFT lattice parameters and positions (PBE), using copper Kα.
Peak positions follow from Bragg's law for the DFT cell and can differ from measured ones.

Cell and atoms:
```
data_Sm2SnSe
_cell_length_a 6.143
_cell_length_b 6.142
_cell_length_c 12.264
_cell_angle_alpha 90.00
_cell_angle_beta 90.00
_cell_angle_gamma 90.00
_symmetry_space_group_name_H-M 'P m n a'
_symmetry_Int_Tables_number 53
loop_
_symmetry_equiv_pos_as_xyz
'x,y,z'
'-x,-y,-z'
'-x+1/2,-y,z+1/2'
'x+1/2,y,-z+1/2'
'x,-y,-z'
'-x,y,z'
'-x+1/2,y,-z+1/2'
'x+1/2,-y,z+1/2'
loop_
_atom_site_label
_atom_site_type_symbol
_atom_site_fract_x
_atom_site_fract_y
_atom_site_fract_z
_atom_site_occupancy
Sm1 Sm 0.000 0.250 0.120 1
Sm2 Sm 0.000 0.250 0.630 1
Sn1 Sn 0.000 0.250 0.375 1
Se1 Se 0.000 0.250 0.875 1
```

The 10 most intense peaks (2θ from 15° to 90°), most intense first:
2θ (°)	intensity	(hkl)
29.1	100	2 0 0
41.6	76	2 2 0
51.6	27	2 2 4
75.9	26	4 2 4
68.3	24	4 2 0
68.4	11	2 0 8
60.3	9	4 0 0
25.1	7	1 1 2
60.4	4	0 0 8
49.2	3	3 1 2

Record 4
The following is a simulated X-ray diffraction stick pattern of LaSm3Ge2. It was derived from DFT lattice parameters and positions (PBE), using copper Kα.
Peak positions follow from Bragg's law for the DFT cell and can differ from measured ones.

Cell and atoms:
```
data_LaSm3Ge2
_cell_length_a 4.471
_cell_length_b 4.471
_cell_length_c 8.402
_cell_angle_alpha 90.00
_cell_angle_beta 90.00
_cell_angle_gamma 90.00
_symmetry_space_group_name_H-M 'P -4 m 2'
_symmetry_Int_Tables_number 115
loop_
_symmetry_equiv_pos_as_xyz
'x,y,z'
'y,-x,-z'
'-x,-y,z'
'-y,x,-z'
'-x,y,z'
'-y,-x,-z'
'x,-y,z'
'y,x,-z'
loop_
_atom_site_label
_atom_site_type_symbol
_atom_site_fract_x
_atom_site_fract_y
_atom_site_fract_z
_atom_site_occupancy
La1 La 0.000 0.000 0.000 1
Sm1 Sm 0.000 0.500 0.360 1
Sm2 Sm 0.500 0.500 0.000 1
Ge1 Ge 0.000 0.500 0.719 1
```

The 10 most intense peaks (2θ from 15° to 90°), most intense first:
2θ (°)	intensity	(hkl)
30.2	100	1 1 1
35.5	59	1 1 2
52.3	51	2 0 3
40.3	48	2 0 0
32.0	34	0 0 3
29.2	24	1 0 2
67.1	20	3 1 1
58.4	16	2 2 0
70.2	16	3 1 2
37.9	16	1 0 3

Record 5
The following is a simulated X-ray diffraction stick pattern of Cs3Zn2Ag4. It was derived from DFT lattice parameters and positions (PBE), using copper Kα.
Peak positions follow from Bragg's law for the DFT cell and can differ from measured ones.

Cell and atoms:
```
data_Cs3Zn2Ag4
_cell_length_a 13.476
_cell_length_b 4.796
_cell_length_c 9.884
_cell_angle_alpha 90.00
_cell_angle_beta 109.27
_cell_angle_gamma 90.00
_symmetry_space_group_name_H-M 'C 1 2/m 1'
_symmetry_Int_Tables_number 12
loop_
_symmetry_equiv_pos_as_xyz
'x,y,z'
'-x,-y,-z'
'-x,y,-z'
'x,-y,z'
'x+1/2,y+1/2,z'
'-x+1/2,-y+1/2,-z'
'-x+1/2,y+1/2,-z'
'x+1/2,-y+1/2,z'
loop_
_atom_site_label
_atom_site_type_symbol
_atom_site_fract_x
_atom_site_fract_y
_atom_site_fract_z
_atom_site_occupancy
Cs1 Cs 0.000 0.000 0.000 1
Cs2 Cs 0.128 0.500 0.379 1
Zn1 Zn 0.173 0.500 0.791 1
Ag1 Ag 0.086 0.000 0.642 1
Ag2 Ag 0.241 0.000 0.917 1
```

The 10 most intense peaks (2θ from 15° to 90°), most intense first:
2θ (°)	intensity	(hkl)
29.9	100	3 1 -2
37.0	92	1 1 3
37.5	78	0 2 0
23.0	68	1 1 1
26.5	66	4 0 -1
28.3	65	4 0 -2
28.1	63	3 1 0
50.2	53	3 1 -5
38.0	52	3 1 2
25.9	42	1 1 -2

Record 6
The following is a simulated X-ray diffraction stick pattern of La2Tl3Pd4. It was derived from DFT lattice parameters and positions (PBE), using copper Kα.
Peak positions follow from Bragg's law for the DFT cell and can differ from measured ones.

Cell and atoms:
```
data_La2Tl3Pd4
_cell_length_a 6.224
_cell_length_b 17.859
_cell_length_c 7.435
_cell_angle_alpha 90.00
_cell_angle_beta 90.00
_cell_angle_gamma 90.00
_symmetry_space_group_name_H-M 'C m c e'
_symmetry_Int_Tables_number 64
_symmetry_space_group_name_Hall '-C 2ac 2'
loop_
_atom_site_label
_atom_site_type_symbol
_atom_site_fract_x
_atom_site_fract_y
_atom_site_fract_z
_atom_site_occupancy
La1 La 0.000 0.105 0.080 1
Tl1 Tl 0.000 0.000 0.500 1
Tl2 Tl 0.250 0.238 0.750 1
Pd1 Pd 0.000 0.159 0.474 1
Pd2 Pd 0.250 0.076 0.750 1
```

The 10 most intense peaks (2θ from 15° to 90°), most intense first:
2θ (°)	intensity	(hkl)
37.7	100	2 0 2
31.3	60	1 5 1
38.8	40	0 6 2
32.8	27	2 2 1
26.0	27	0 2 2
42.0	27	2 6 0
66.5	24	2 6 4
30.4	21	2 2 0
35.2	17	2 4 0
40.1	15	1 7 1